Starting from the PBE geometry in OQMD, the powder diffractogram of Al3ZnAs was computed for copper Kα.
Neutral-atom scattering factors, no anomalous dispersion.

Peak list (6 most intense, 10° ≤ 2θ ≤ 90°, by angle)
Position (°2θ)  d_spacing  I (rel.)
27.98  3.188  37
34.51  2.599  40
38.50  2.338  50
39.48  2.283  78
42.70  2.117  100
79.08  1.211  38

Structural model:
```
10
Lattice="2.338 -6.538 0.000 2.338 6.538 0.000 0.000 0.000 5.664" Properties=species:S:1:pos:R:3 pbc="T T T"
Al 2.338 5.031 4.248
Al 2.338 2.504 2.848
Al 2.338 2.504 5.648
Al 2.338 -2.504 0.016
Al 2.338 -2.504 2.816
Al 2.338 -5.031 1.416
Zn 2.338 4.961 1.416
Zn 2.338 -4.961 4.248
As 2.338 0.040 1.416
As 2.338 -0.040 4.248
```



Starting from the PBE geometry in OQMD, the powder diffractogram of AlAu was computed for copper Kα.
Neutral-atom scattering factors, no anomalous dispersion.

Peak list (6 most intense, 10° ≤ 2θ ≤ 90°, by angle)
Position (°2θ)  d_spacing  I (rel.)
21.43  4.147  52
33.76  2.655  62
40.34  2.236  100
56.30  1.634  29
60.39  1.533  17
77.43  1.233  17

Structural model:
```
2
Lattice="3.066 0.000 0.000 -1.533 2.655 0.000 0.000 0.000 4.147" Properties=species:S:1:pos:R:3 pbc="T T T"
Al 0.000 0.000 0.000
Au 1.533 0.885 2.073
```



Starting from the PBE geometry in OQMD, the powder diffractogram of Al3Au8 was computed for copper Kα.
Neutral-atom scattering factors, no anomalous dispersion.

Peak list (6 most intense, 10° ≤ 2θ ≤ 90°, by angle)
Position (°2θ)  d_spacing  I (rel.)
26.00  3.427  25
29.63  3.015  19
38.09  2.362  17
39.22  2.297  90
39.88  2.260  100
46.35  1.959  16

Structural model:
```
44
Lattice="3.914 2.260 14.185 -3.914 2.260 14.185 0.000 -4.520 14.185" Properties=species:S:1:pos:R:3 pbc="T T T"
Al 0.000 0.000 0.000
Al -2.676 -0.115 17.731
Al 0.000 0.000 6.637
Al -1.238 -2.375 24.823
Al 0.000 0.000 14.640
Al 1.438 -2.260 17.731
Al 0.000 0.000 21.277
Al -1.438 2.260 24.823
Al 0.000 0.000 27.914
Al 1.238 2.375 17.731
Al 0.000 0.000 35.917
Al 2.676 0.115 24.823
Au -1.134 -2.261 13.451
Au 0.000 0.000 2.700
Au -1.026 -2.737 19.057
Au -1.026 -1.783 16.405
Au -2.883 -0.480 23.497
Au -2.523 -0.147 20.544
Au -1.134 -2.259 22.010
Au 0.000 0.000 9.251
Au 0.000 0.000 12.026
Au -1.391 2.112 13.451
Au -2.525 -0.148 29.103
Au -2.057 -0.003 26.149
Au -1.857 2.257 19.057
Au -1.031 1.780 16.405
Au 0.000 0.000 18.577
Au -1.389 2.112 22.010
Au 1.389 -2.112 20.544
Au 0.000 0.000 23.977
Au 1.031 -1.780 26.149
Au 1.857 -2.257 23.497
Au 2.057 0.003 16.405
Au 2.525 0.148 13.451
Au 1.391 -2.112 29.103
Au 0.000 0.000 30.528
Au 0.000 0.000 33.303
Au 1.134 2.259 20.544
Au 2.523 0.147 22.010
Au 2.883 0.480 19.057
Au 1.026 1.783 26.149
Au 1.026 2.737 23.497
Au 0.000 0.000 39.854
Au 1.134 2.261 29.103
```



Starting from the PBE geometry in OQMD, the powder diffractogram of AlAu was computed for copper Kα.
Neutral-atom scattering factors, no anomalous dispersion.

Peak list (6 most intense, 10° ≤ 2θ ≤ 90°, by angle)
Position (°2θ)  d_spacing  I (rel.)
29.01  3.078  100
33.62  2.666  90
48.28  1.885  66
57.32  1.608  46
60.12  1.539  23
80.58  1.192  30

Structural model:
```
8
Lattice="5.331 0.000 0.000 0.000 5.331 0.000 0.000 0.000 5.331" Properties=species:S:1:pos:R:3 pbc="T T T"
Al 0.000 0.000 0.000
Al 0.000 2.666 2.666
Al 2.666 0.000 2.666
Al 2.666 2.666 0.000
Au 0.000 0.000 2.666
Au 0.000 2.666 0.000
Au 2.666 0.000 0.000
Au 2.666 2.666 2.666
```



Starting from the PBE geometry in OQMD, the powder diffractogram of Al9Au25 was computed for copper Kα.
Neutral-atom scattering factors, no anomalous dispersion.

Peak list (6 most intense, 10° ≤ 2θ ≤ 90°, by angle)
Position (°2θ)  d_spacing  I (rel.)
24.16  3.683  28
27.93  3.194  32
36.02  2.494  69
38.78  2.322  25
39.84  2.263  100
40.00  2.254  94

Structural model:
```
34
Lattice="7.809 0.000 0.000 -3.904 6.762 0.000 0.000 0.000 11.107" Properties=species:S:1:pos:R:3 pbc="T T T"
Al 0.000 0.000 0.000
Al -2.601 4.517 3.550
Al 1.293 2.252 3.550
Al 2.596 0.006 7.557
Al 0.000 4.508 10.855
Al 3.904 2.254 0.252
Al 1.308 6.756 3.550
Al 2.612 4.511 7.557
Al 6.505 2.245 7.557
Au 0.000 0.000 2.689
Au 0.000 0.000 5.554
Au 0.000 0.000 8.418
Au -2.477 4.638 0.766
Au -2.084 4.552 8.944
Au -0.950 2.609 4.850
Au 1.126 2.299 0.766
Au -1.169 6.281 4.850
Au 1.004 2.682 8.944
Au 0.000 4.508 2.590
Au 0.000 4.508 6.847
Au 2.554 0.174 10.342
Au 1.785 2.128 6.257
Au 2.825 0.471 2.163
Au 1.080 6.291 8.944
Au 2.120 4.635 4.850
Au 1.351 6.588 0.766
Au 3.904 2.254 4.260
Au 3.904 2.254 8.517
Au 2.900 4.081 2.163
Au 5.074 0.482 6.257
Au 2.779 4.464 10.342
Au 4.855 4.153 6.257
Au 5.988 2.210 2.163
Au 6.381 2.124 10.342
```



Starting from the PBE geometry in OQMD, the powder diffractogram of AlAu was computed for copper Kα.
Neutral-atom scattering factors, no anomalous dispersion.

Peak list (6 most intense, 10° ≤ 2θ ≤ 90°, by angle)
Position (°2θ)  d_spacing  I (rel.)
27.69  3.221  73
39.57  2.278  100
48.98  1.860  21
57.19  1.611  17
64.71  1.441  28
71.78  1.315  35

Structural model:
```
2
Lattice="3.221 0.000 0.000 0.000 3.221 0.000 0.000 0.000 3.221" Properties=species:S:1:pos:R:3 pbc="T T T"
Al 0.000 0.000 0.000
Au 1.611 1.611 1.611
```